This entry pairs a crystal structure of BeInS2 with its simulated X-ray diffraction stick pattern. Radiation: Cu Kα (λ = 1.5418 Å). Structure: the PBE geometry in Alexandria.

Crystal structure
a = 5.871 Å, b = 5.871 Å, c = 9.635 Å
α = 90.00°, β = 90.00°, γ = 90.00°
Space group I-42d (No. 122)
One atom of each set of equivalent atoms:
Be (0.000, 0.000, 0.000) x4
In (0.000, 0.000, 0.500) x4
S (0.162, 0.250, 0.125) x8

Principal peaks in the range 2θ = 5–70°, low angle first:
d_spacing  I/Imax  h k l
5.013  57  1 0 1
3.145  100  1 1 2
2.818  37  1 0 3
2.533  59  2 1 1
2.076  19  2 2 0
2.033  14  2 1 3
1.918  15  3 0 1
1.862  33  2 0 4
1.732  29  3 1 2
1.452  13  3 2 3